For LaSn3Pd, a cell relaxed with PBE gives the calculated powder XRD pattern in this record (λ = 1.5418 Å (Cu Kα)).

Main lines, by intensity (10 to 90 degrees two-theta):
two_theta  intensity
33.4  100
32.5  67
41.7  40
28.2  26
60.5  23
30.1  20
24.1  20
64.6  19
31.8  18
42.3  18

Structure:
Cell lengths 6.7769, 6.1206, 6.3367 Å; angles 90.00, 90.00, 90.00 degrees
Fractional coordinates of all 10 atoms:
La 0.0000 0.1390 0.0000
La 0.5000 0.8610 0.5000
Sn 0.0000 0.9066 0.5425
Sn 0.2421 0.3253 0.4345
Sn 0.2579 0.6747 0.9345
Sn 0.5000 0.0934 0.0425
Sn 0.7421 0.6747 0.9345
Sn 0.7579 0.3253 0.4345
Pd 0.0000 0.6099 0.2412
Pd 0.5000 0.3901 0.7412

***

For LiZn6Pd, a cell relaxed with PBE gives the calculated powder XRD pattern in this record (λ = 1.5418 Å (Cu Kα)).

Main lines, by intensity (10 to 90 degrees two-theta):
two_theta  intensity
41.1  100
44.1  80
17.3  61
26.3  57
38.5  52
53.6  37
54.7  28
73.6  21
31.4  21
79.8  16

Structure:
Cell lengths 5.2131, 5.2131, 5.2131 Å; angles 82.37, 82.37, 82.37 degrees
Fractional coordinates of all 8 atoms:
Li 0.0000 0.0000 0.0000
Zn 0.0258 0.6569 0.6569
Zn 0.3431 0.3431 0.9742
Zn 0.3431 0.9742 0.3431
Zn 0.6569 0.0258 0.6569
Zn 0.6569 0.6569 0.0258
Zn 0.9742 0.3431 0.3431
Pd 0.5000 0.5000 0.5000

***

For Tb2As7Rh12, a cell relaxed with PBE gives the calculated powder XRD pattern in this record (λ = 1.5418 Å (Cu Kα)).

Main lines, by intensity (10 to 90 degrees two-theta):
two_theta  intensity
35.7  100
48.3  25
46.2  18
44.3  15
69.0  14
78.7  10
36.0  10
81.8  9
45.8  8
38.8  8

Structure:
Cell lengths 9.9777, 9.9777, 3.9293 Å; angles 90.00, 90.00, 120.00 degrees
Fractional coordinates of all 21 atoms:
Tb 0.3333 0.6667 0.2488
Tb 0.6667 0.3333 0.7512
As 0.0000 0.0000 0.5000
As 0.1177 0.7122 0.7508
As 0.2878 0.4055 0.7508
As 0.4055 0.1177 0.2492
As 0.5945 0.8823 0.7508
As 0.7122 0.5945 0.2492
As 0.8823 0.2878 0.2492
Rh 0.0661 0.4475 0.7498
Rh 0.1150 0.2638 0.2471
Rh 0.1488 0.8850 0.2471
Rh 0.2638 0.1488 0.7529
Rh 0.3814 0.9339 0.7498
Rh 0.4475 0.3814 0.2502
Rh 0.5525 0.6186 0.7498
Rh 0.6186 0.0661 0.2502
Rh 0.7362 0.8512 0.2471
Rh 0.8512 0.1150 0.7529
Rh 0.8850 0.7362 0.7529
Rh 0.9339 0.5525 0.2502

***

For BaAl2Tl, a cell relaxed with PBE gives the calculated powder XRD pattern in this record (λ = 1.5418 Å (Cu Kα)).

Main lines, by intensity (10 to 90 degrees two-theta):
two_theta  intensity
34.0  100
25.6  94
11.3  88
32.4  86
27.3  79
33.8  77
49.0  55
34.2  38
58.9  31
61.6  27

Structure:
Cell lengths 3.5895, 3.8867, 7.8562 Å; angles 90.00, 90.00, 90.00 degrees
Fractional coordinates of all 4 atoms:
Ba 0.0000 0.0000 0.0000
Al 0.0000 0.0000 0.5476
Al 0.5000 0.5000 0.6946
Tl 0.5000 0.5000 0.3230

***

For TaV3Tc4, a cell relaxed with PBE gives the calculated powder XRD pattern in this record (λ = 1.5418 Å (Cu Kα)).

Main lines, by intensity (10 to 90 degrees two-theta):
two_theta  intensity
41.6  100
75.9  31
60.3  16
36.6  6
30.0  6
14.4  5
32.6  5
68.8  3
44.2  2
72.6  2

Structure:
Cell lengths 3.0727, 3.0727, 12.2826 Å; angles 90.00, 90.00, 90.00 degrees
Fractional coordinates of all 8 atoms:
Ta 0.0000 0.0000 0.0000
V 0.0000 0.0000 0.2557
V 0.0000 0.0000 0.5000
V 0.0000 0.0000 0.7443
Tc 0.5000 0.5000 0.1338
Tc 0.5000 0.5000 0.3779
Tc 0.5000 0.5000 0.6221
Tc 0.5000 0.5000 0.8662

***

For TbY2Ho4, a cell relaxed with PBE gives the calculated powder XRD pattern in this record (λ = 1.5418 Å (Cu Kα)).

Main lines, by intensity (10 to 90 degrees two-theta):
two_theta  intensity
31.9  100
34.1  85
31.4  50
29.2  47
61.2  44
51.1  38
54.7  21
39.8  20
59.0  18
87.6  17

Structure:
Cell lengths 3.5744, 3.5744, 19.9522 Å; angles 90.00, 90.00, 120.00 degrees
Fractional coordinates of all 7 atoms:
Tb 0.0000 0.0000 0.0000
Y 0.0000 0.0000 0.4299
Y 0.0000 0.0000 0.7152
Ho 0.3333 0.6667 0.2860
Ho 0.3333 0.6667 0.5720
Ho 0.6667 0.3333 0.1434
Ho 0.6667 0.3333 0.8582

***

For NdCdNi2, a cell relaxed with PBE gives the calculated powder XRD pattern in this record (λ = 1.5418 Å (Cu Kα)).

Main lines, by intensity (10 to 90 degrees two-theta):
two_theta  intensity
35.2  100
40.6  76
40.5  47
26.6  32
58.0  25
39.6  20
54.7  18
70.3  17
26.7  16
73.7  15

Structure:
Cell lengths 4.4399, 4.4399, 5.2314 Å; angles 115.29, 115.29, 60.15 degrees
Fractional coordinates of all 4 atoms:
Nd 0.0000 0.0000 0.0000
Cd 0.5000 0.5000 0.5000
Ni 0.2031 0.2031 0.6103
Ni 0.7969 0.7969 0.3897

***

For Ho3PN5, a cell relaxed with PBE gives the calculated powder XRD pattern in this record (λ = 1.5418 Å (Cu Kα)).

Main lines, by intensity (10 to 90 degrees two-theta):
two_theta  intensity
32.6  100
32.2  57
40.5  52
59.9  38
34.0  36
25.8  34
39.6  27
44.5  27
57.1  19
53.1  19

Structure:
Cell lengths 6.9703, 6.9703, 6.9703 Å; angles 124.95, 124.95, 81.62 degrees
Fractional coordinates of all 18 atoms:
Ho 0.1802 0.6802 0.8605
Ho 0.2500 0.2500 0.0000
Ho 0.3198 0.1802 0.5000
Ho 0.6802 0.8198 0.5000
Ho 0.7500 0.7500 0.0000
Ho 0.8198 0.3198 0.1395
P 0.2500 0.7500 0.5000
P 0.7500 0.2500 0.5000
N 0.0000 0.0000 0.0000
N 0.0119 0.7915 0.5000
N 0.2085 0.7085 0.2205
N 0.2915 0.5119 0.5000
N 0.4881 0.9881 0.7795
N 0.5000 0.5000 0.0000
N 0.5119 0.0119 0.2205
N 0.7085 0.4881 0.5000
N 0.7915 0.2915 0.7795
N 0.9881 0.2085 0.5000

***

For Cu3PO6, a cell relaxed with PBE gives the calculated powder XRD pattern in this record (λ = 1.5418 Å (Cu Kα)).

Main lines, by intensity (10 to 90 degrees two-theta):
two_theta  intensity
25.1  100
22.8  67
32.0  65
38.6  21
37.7  21
54.7  19
52.2  18
49.6  18
30.6  18
54.5  18

Structure:
Cell lengths 7.1588, 7.1588, 5.1730 Å; angles 90.00, 90.00, 111.65 degrees
Fractional coordinates of all 20 atoms:
Cu 0.0103 0.9897 0.5000
Cu 0.1781 0.4414 0.6252
Cu 0.4414 0.1781 0.1252
Cu 0.5586 0.8219 0.6252
Cu 0.8219 0.5586 0.1252
Cu 0.9897 0.0103 0.0000
P 0.3012 0.6988 0.0656
P 0.6988 0.3012 0.5656
O 0.0789 0.6031 0.9783
O 0.1410 0.1794 0.7466
O 0.1794 0.1410 0.2466
O 0.3291 0.6709 0.3596
O 0.3969 0.9211 0.9783
O 0.4087 0.5913 0.8796
O 0.5913 0.4087 0.3796
O 0.6031 0.0789 0.4783
O 0.6709 0.3291 0.8596
O 0.8206 0.8590 0.7466
O 0.8590 0.8206 0.2466
O 0.9211 0.3969 0.4783

***

For Cu3Pt, a cell relaxed with PBE gives the calculated powder XRD pattern in this record (λ = 1.5418 Å (Cu Kα)).

Main lines, by intensity (10 to 90 degrees two-theta):
two_theta  intensity
41.5  100
48.6  63
41.9  49
42.4  48
49.0  31
20.8  27
71.1  19
71.8  19
86.5  17
23.4  13

Structure:
Cell lengths 4.5240, 8.0400, 4.5743 Å; angles 90.00, 109.54, 90.00 degrees
Fractional coordinates of all 12 atoms:
Cu 0.0000 0.0000 0.0000
Cu 0.0000 0.1554 0.5000
Cu 0.0000 0.3238 0.0000
Cu 0.0000 0.4982 0.5000
Cu 0.0000 0.6673 0.0000
Cu 0.0000 0.8316 0.5000
Cu 0.5000 0.1610 0.0000
Cu 0.5000 0.6646 0.5000
Cu 0.5000 0.9957 0.5000
Pt 0.5000 0.3206 0.5000
Pt 0.5000 0.4975 0.0000
Pt 0.5000 0.8373 0.0000

***

For TbDySiPt, a cell relaxed with PBE gives the calculated powder XRD pattern in this record (λ = 1.5418 Å (Cu Kα)).

Main lines, by intensity (10 to 90 degrees two-theta):
two_theta  intensity
32.1  100
40.1  52
33.5  36
33.3  26
43.4  22
39.9  21
55.8  21
45.3  20
16.5  19
74.6  18

Structure:
Cell lengths 4.1678, 5.7385, 5.7385 Å; angles 40.84, 90.00, 90.00 degrees
Fractional coordinates of all 4 atoms:
Tb 0.0000 0.0000 0.0000
Dy 0.5000 0.2817 0.2817
Si 0.5000 0.5662 0.5662
Pt 0.0000 0.7198 0.7198

***

For Zn7Pd3Pt2, a cell relaxed with PBE gives the calculated powder XRD pattern in this record (λ = 1.5418 Å (Cu Kα)).

Main lines, by intensity (10 to 90 degrees two-theta):
two_theta  intensity
42.1  100
43.0  27
44.6  25
33.0  20
16.0  17
63.7  17
36.8  15
78.2  15
80.5  15
30.9  11

Structure:
Cell lengths 11.3045, 11.3045, 4.0594 Å; angles 90.00, 90.00, 158.57 degrees
Fractional coordinates of all 12 atoms:
Zn 0.0000 0.0000 0.0000
Zn 0.0804 0.9196 0.5000
Zn 0.2770 0.7230 0.0000
Zn 0.4220 0.5780 0.0000
Zn 0.5780 0.4220 0.0000
Zn 0.7230 0.2770 0.0000
Zn 0.9196 0.0804 0.5000
Pd 0.3496 0.6504 0.5000
Pd 0.5000 0.5000 0.5000
Pd 0.6504 0.3496 0.5000
Pt 0.1551 0.8449 0.0000
Pt 0.8449 0.1551 0.0000

***

For ScCoH2, a cell relaxed with PBE gives the calculated powder XRD pattern in this record (λ = 1.5418 Å (Cu Kα)).

Main lines, by intensity (10 to 90 degrees two-theta):
two_theta  intensity
40.6  100
41.1  89
39.9  67
37.9  64
35.2  49
25.1  26
54.2  25
51.6  22
29.8  21
31.2  16

Structure:
Cell lengths 5.5891, 5.7366, 4.5169 Å; angles 90.00, 90.00, 90.00 degrees
Fractional coordinates of all 16 atoms:
Sc 0.1711 0.1247 0.0000
Sc 0.3289 0.6247 0.5000
Sc 0.6711 0.3753 0.0000
Sc 0.8289 0.8753 0.5000
Co 0.0437 0.6782 0.9907
Co 0.4563 0.1782 0.4907
Co 0.5437 0.8218 0.9907
Co 0.9563 0.3218 0.4907
H 0.0186 0.4279 0.8163
H 0.1525 0.1092 0.4968
H 0.3475 0.6092 0.9968
H 0.4814 0.9279 0.3163
H 0.5186 0.0721 0.8163
H 0.6525 0.3908 0.4968
H 0.8475 0.8908 0.9968
H 0.9814 0.5721 0.3163